(1)
This entry pairs a crystal structure of Li3GaNi4 with its theoretical XRD peak list. Radiation: Cu Kα X-rays. Structure: a GGA-PBE-relaxed structure.
Neutral-atom scattering factors, no anomalous dispersion.

The 10 most intense peaks (2θ = 10–90°), in order of rising 2θ:
| d/Å | Position (°2θ) | I (rel.) |
| --- | --- | --- |
| 7.262 | 12.19 | 43 |
| 4.157 | 21.37 | 79 |
| 3.207 | 27.82 | 26 |
| 2.185 | 41.33 | 14 |
| 2.155 | 41.93 | 26 |
| 2.079 | 43.54 | 100 |
| 2.070 | 43.73 | 99 |
| 1.816 | 50.25 | 32 |
| 1.787 | 51.11 | 61 |
| 1.274 | 74.50 | 36 |

Structure:
a b c (Å): 5.0392 7.2622 5.0704
angles (deg): 90.00 90.00 90.00
Fractional positions:
Li 0.0000 0.0000 0.0000
Li 0.2500 0.2411 0.2500
Li 0.2500 0.7589 0.7500
Li 0.5000 0.0000 0.5000
Li 0.7500 0.2411 0.2500
Li 0.7500 0.7589 0.7500
Ga 0.0000 0.5000 0.0000
Ga 0.5000 0.5000 0.5000
Ni 0.0000 0.0000 0.5000
Ni 0.0000 0.5000 0.5000
Ni 0.2500 0.2497 0.7500
Ni 0.2500 0.7503 0.2500
Ni 0.5000 0.0000 0.0000
Ni 0.5000 0.5000 0.0000
Ni 0.7500 0.2497 0.7500
Ni 0.7500 0.7503 0.2500

=====

(2)
This entry pairs a crystal structure of ThFe6 with its theoretical XRD peak list. Radiation: Cu Kα X-rays. Structure: a GGA-PBE-relaxed structure.
Neutral-atom scattering factors, no anomalous dispersion.

The 10 most intense peaks (2θ = 10–90°), in order of rising 2θ:
| d/Å | Position (°2θ) | I (rel.) |
| --- | --- | --- |
| 4.262 | 20.84 | 17 |
| 3.014 | 29.64 | 44 |
| 2.461 | 36.52 | 100 |
| 1.906 | 47.71 | 5 |
| 1.611 | 57.18 | 54 |
| 1.507 | 61.54 | 15 |
| 1.348 | 69.78 | 15 |
| 1.285 | 73.73 | 13 |
| 1.182 | 81.41 | 4 |
| 1.100 | 88.94 | 16 |

Structure:
a b c (Å): 5.2200 5.2200 5.2200
angles (deg): 109.47 109.47 109.47
Fractional positions:
Th 0.0000 0.0000 0.0000
Fe 0.2500 0.5000 0.7500
Fe 0.2500 0.7500 0.5000
Fe 0.5000 0.2500 0.7500
Fe 0.5000 0.7500 0.2500
Fe 0.7500 0.2500 0.5000
Fe 0.7500 0.5000 0.2500

=====

(3)
This entry pairs a crystal structure of DySnP2Rh5 with its theoretical XRD peak list. Radiation: Cu Kα X-rays. Structure: a GGA-PBE-relaxed structure.
Neutral-atom scattering factors, no anomalous dispersion.

The 10 most intense peaks (2θ = 10–90°), in order of rising 2θ:
| d/Å | Position (°2θ) | I (rel.) |
| --- | --- | --- |
| 2.954 | 30.26 | 10 |
| 2.386 | 37.71 | 100 |
| 2.348 | 38.34 | 6 |
| 2.162 | 41.78 | 16 |
| 2.023 | 44.81 | 37 |
| 1.477 | 62.92 | 18 |
| 1.430 | 65.23 | 12 |
| 1.287 | 73.59 | 14 |
| 1.227 | 77.87 | 24 |
| 1.193 | 80.52 | 9 |

Structure:
a b c (Å): 4.0455 4.0455 8.6474
angles (deg): 90.00 90.00 90.00
Fractional positions:
Dy 0.0000 0.0000 0.0000
Sn 0.0000 0.0000 0.5000
P 0.5000 0.5000 0.1358
P 0.5000 0.5000 0.8642
Rh 0.0000 0.5000 0.2641
Rh 0.0000 0.5000 0.7359
Rh 0.5000 0.0000 0.2641
Rh 0.5000 0.0000 0.7359
Rh 0.5000 0.5000 0.5000

=====

(4)
This entry pairs a crystal structure of NaZn10Ag2 with its theoretical XRD peak list. Radiation: Cu Kα X-rays. Structure: a GGA-PBE-relaxed structure.
Neutral-atom scattering factors, no anomalous dispersion.

The 10 most intense peaks (2θ = 10–90°), in order of rising 2θ:
| d/Å | Position (°2θ) | I (rel.) |
| --- | --- | --- |
| 6.149 | 14.41 | 32 |
| 4.467 | 19.88 | 59 |
| 2.347 | 38.35 | 100 |
| 2.310 | 38.99 | 38 |
| 2.233 | 40.39 | 77 |
| 2.214 | 40.76 | 35 |
| 2.103 | 43.01 | 70 |
| 2.053 | 44.11 | 64 |
| 2.042 | 44.36 | 59 |
| 1.955 | 46.46 | 32 |

Structure:
a b c (Å): 8.9469 7.0607 6.7392
angles (deg): 80.80 51.17 48.03
Fractional positions:
Na 0.0000 0.0000 0.0000
Zn 0.0000 0.5000 0.0000
Zn 0.0010 0.3517 0.6483
Zn 0.2755 0.4931 0.5069
Zn 0.3517 0.0010 0.9990
Zn 0.4931 0.2755 0.7245
Zn 0.5000 0.0000 0.5000
Zn 0.5069 0.7245 0.2755
Zn 0.6483 0.9990 0.0010
Zn 0.7245 0.5069 0.4931
Zn 0.9990 0.6483 0.3517
Ag 0.0000 0.0000 0.5000
Ag 0.5000 0.5000 0.0000